Computed X-ray diffraction stick pattern
Compound: LiZn2Ag6
Radiation: Cu Ka
Structure: a cell relaxed with GGA-PBE
Kinematic intensities with the Lorentz-polarization factor, no thermal factor.

Cell lengths 12.9420, 9.5598, 4.9683 Å; angles 90.00, 98.11, 90.00 degrees
Space group C2/c (No. 15)
Inequivalent atoms, fractional coordinates:
Li 0.0000 0.1229 0.2500
Zn 0.1657 0.3714 0.0885
Ag 0.0545 0.3720 0.5221
Ag 0.1114 0.1265 0.8140
Ag 0.2244 0.1237 0.3560

Top 10 peaks for 10° ≤ 2θ ≤ 80°, by angle:
h k l	2θ/deg	d (Å)	intensity
2 2 -1	28.3	3.154	18
1 1 -2	37.5	2.401	61
0 4 0	37.6	2.390	61
5 1 -1	38.4	2.343	59
4 2 1	40.4	2.233	100
1 3 -2	46.4	1.958	35
5 3 -1	47.2	1.925	29
5 5 -1	61.9	1.499	14
4 6 1	69.8	1.348	18
6 2 -3	70.1	1.343	18

=====

Computed X-ray diffraction stick pattern
Compound: Ce3Ni2Se2S4
Radiation: Cu Ka
Structure: a cell relaxed with GGA-PBE
Kinematic intensities with the Lorentz-polarization factor, no thermal factor.

Cell lengths 4.4112, 4.4112, 23.1295 Å; angles 90.00, 90.00, 90.00 degrees
Space group I4/mmm (No. 139)
Inequivalent atoms, fractional coordinates:
Ce 0.0000 0.0000 0.0000
Ce 0.0000 0.0000 0.1640
Ni 0.0000 0.0000 0.4003
Se 0.0000 0.0000 0.2952
S 0.0000 0.5000 0.0788

Top 10 peaks for 10° ≤ 2θ ≤ 80°, by angle:
h k l	2θ/deg	d (Å)	intensity
1 0 1	20.5	4.333	23
1 0 5	27.9	3.192	35
1 1 0	28.6	3.119	100
1 0 7	33.9	2.645	95
1 1 6	37.1	2.425	65
1 0 9	40.6	2.221	25
2 0 0	40.9	2.206	81
2 1 7	54.1	1.694	49
2 2 0	59.2	1.560	26
3 1 6	72.0	1.312	20

=====

Computed X-ray diffraction stick pattern
Compound: Cu4SnS4
Radiation: Cu Ka
Structure: a cell relaxed with GGA-PBE
Kinematic intensities with the Lorentz-polarization factor, no thermal factor.

Cell lengths 13.5733, 7.6833, 6.4882 Å; angles 90.00, 90.00, 90.00 degrees
Space group Pnma (No. 62)
Inequivalent atoms, fractional coordinates:
Cu 0.0734 0.2500 0.0999
Cu 0.1651 0.2500 0.4361
Cu 0.1658 0.5118 0.8863
Sn 0.0817 0.7500 0.3881
S 0.0816 0.7500 0.7732
S 0.0916 0.2500 0.7498
S 0.1760 0.0029 0.2442

Top 10 peaks for 10° ≤ 2θ ≤ 80°, by angle:
h k l	2θ/deg	d (Å)	intensity
4 0 0	26.3	3.393	36
2 2 0	26.7	3.343	100
1 2 1	27.8	3.212	27
1 0 2	28.3	3.155	38
1 1 2	30.6	2.919	38
3 2 1	33.6	2.669	41
5 1 1	37.8	2.381	23
6 2 0	46.6	1.949	39
0 4 0	47.3	1.921	33
2 2 3	50.2	1.816	65

=====

Computed X-ray diffraction stick pattern
Compound: Ac3DySn3
Radiation: Cu Ka
Structure: a cell relaxed with GGA-PBE
Kinematic intensities with the Lorentz-polarization factor, no thermal factor.

Cell lengths 9.1628, 13.8718, 8.5547 Å; angles 90.00, 94.43, 90.00 degrees
Space group C2/m (No. 12)
Inequivalent atoms, fractional coordinates:
Ac 0.0000 0.1623 0.0000
Ac 0.0000 0.2307 0.5000
Ac 0.1124 0.5000 0.8452
Dy 0.2393 0.0000 0.6015
Sn 0.0683 0.0000 0.2901
Sn 0.1837 0.3286 0.2029

Top 10 peaks for 10° ≤ 2θ ≤ 80°, by angle:
h k l	2θ/deg	d (Å)	intensity
1 1 -2	23.3	3.824	60
1 3 1	24.3	3.664	76
0 2 2	24.5	3.633	32
2 2 1	26.2	3.402	50
0 4 1	27.8	3.213	30
2 2 -2	30.4	2.939	100
1 3 2	30.7	2.915	98
3 1 -1	31.1	2.877	53
2 6 -1	44.9	2.020	30
3 7 -1	56.0	1.643	36

=====

Computed X-ray diffraction stick pattern
Compound: GaHRh4
Radiation: Cu Ka
Structure: a cell relaxed with GGA-PBE
Kinematic intensities with the Lorentz-polarization factor, no thermal factor.

Cell lengths 4.7091, 4.7793, 7.0963 Å; angles 70.50, 88.87, 89.99 degrees
Space group P-1 (No. 2)
Inequivalent atoms, fractional coordinates:
Ga 0.2502 0.1776 0.9995
H 0.0000 0.5000 0.5000
H 0.5000 0.0000 0.5000
Rh 0.2033 0.9632 0.3805
Rh 0.2053 0.5605 0.1989
Rh 0.2944 0.7612 0.8013
Rh 0.2968 0.3442 0.6188

Top 10 peaks for 10° ≤ 2θ ≤ 80°, by angle:
h k l	2θ/deg	d (Å)	intensity
0 2 1	37.6	2.390	17
2 0 0	38.2	2.354	66
0 1 -2	38.5	2.337	24
0 1 3	38.6	2.331	24
-1 2 1	42.4	2.131	100
1 -1 2	42.9	2.107	75
1 1 -2	43.5	2.079	44
-1 1 3	43.6	2.074	42
0 3 4	68.7	1.367	15
3 1 -2	73.3	1.292	18

=====

Computed X-ray diffraction stick pattern
Compound: NaAcGe4
Radiation: Cu Ka
Structure: a cell relaxed with GGA-PBE
Kinematic intensities with the Lorentz-polarization factor, no thermal factor.

Cell lengths 4.1294, 4.5186, 8.2670 Å; angles 90.00, 90.00, 90.00 degrees
Space group Pmmm (No. 47)
Inequivalent atoms, fractional coordinates:
Na 0.0000 0.0000 0.0000
Ac 0.5000 0.0000 0.5000
Ge 0.0000 0.5000 0.3342
Ge 0.5000 0.5000 0.1567

Top 10 peaks for 10° ≤ 2θ ≤ 80°, by angle:
h k l	2θ/deg	d (Å)	intensity
0 0 1	10.7	8.267	62
1 0 0	21.5	4.130	19
0 1 1	22.4	3.965	28
0 1 2	29.3	3.050	65
1 1 1	31.3	2.860	100
1 0 3	39.3	2.292	49
0 2 0	39.9	2.259	24
2 0 0	43.8	2.065	18
2 1 2	53.6	1.710	26
1 2 3	57.3	1.609	32

=====

Computed X-ray diffraction stick pattern
Compound: Pr3YS6
Radiation: Cu Ka
Structure: a cell relaxed with GGA-PBE
Kinematic intensities with the Lorentz-polarization factor, no thermal factor.

Cell lengths 11.8887, 11.8887, 13.9976 Å; angles 90.00, 90.00, 120.00 degrees
Space group R-3 (No. 148, hexagonal axes)
Inequivalent atoms, fractional coordinates:
Pr 0.0481 0.7782 0.2026
Y 0.0000 0.0000 0.0000
Y 0.0000 0.0000 0.5000
S 0.0230 0.8128 0.4004
S 0.0310 0.8403 0.8784

Top 10 peaks for 10° ≤ 2θ ≤ 80°, by angle:
h k l	2θ/deg	d (Å)	intensity
0 0 3	19.0	4.666	50
3 -1 1	23.7	3.749	100
2 -1 3	24.2	3.670	34
1 2 2	26.2	3.401	43
4 -1 2	33.9	2.644	39
3 -1 4	34.5	2.602	53
4 1 0	40.1	2.247	47
1 1 6	41.6	2.172	26
4 1 3	44.8	2.024	21
0 3 6	47.1	1.928	21

=====

Computed X-ray diffraction stick pattern
Compound: Mg8BRh4
Radiation: Cu Ka
Structure: a cell relaxed with GGA-PBE
Kinematic intensities with the Lorentz-polarization factor, no thermal factor.

Cell lengths 12.2136, 12.2136, 12.2136 Å; angles 90.00, 90.00, 90.00 degrees
Space group Fd-3m (No. 227, origin choice 2)
Inequivalent atoms, fractional coordinates:
Mg 0.0000 0.0000 0.0000
Mg 0.0744 0.3750 0.8750
B 0.1250 0.1250 0.1250
Rh 0.0289 0.0289 0.2211

Top 10 peaks for 10° ≤ 2θ ≤ 80°, by angle:
h k l	2θ/deg	d (Å)	intensity
1 1 1	12.6	7.052	52
2 2 2	25.3	3.526	71
4 0 0	29.2	3.053	24
3 3 3	38.3	2.351	100
4 4 0	41.8	2.159	45
4 4 2	44.5	2.036	16
5 5 1	53.6	1.710	17
7 3 1	58.0	1.590	23
6 6 0	64.8	1.439	17
8 4 2	70.7	1.333	17